Record 1
Structure and calculated X-ray powder pattern of Ba5Y3F19 (a cell relaxed with GGA-PBE; λ = 1.5418 Å (Cu Kα)).
Peak positions follow from Bragg's law for the DFT cell and can differ from measured ones.

```
Ba5Y3F19
1.0
-7.9118 7.9118 4.1842
7.9118 -7.9118 4.1842
7.9118 7.9118 -4.1842
Ba Y F
10 6 38
Cartesian
7.9118 0.0000 0.0000
6.9214 -4.1175 2.6419
6.9214 4.1175 -1.5423
3.7942 -0.9903 2.6419
4.1175 8.9021 -1.5423
0.0000 7.9118 0.0000
0.9903 3.7942 2.6419
8.9021 4.1175 2.6419
4.1175 6.9214 2.6419
-4.1175 8.9021 2.6419
10.5677 -2.6559 2.5616
5.2559 2.6559 2.5616
0.0000 0.0000 3.9865
-2.6559 5.2559 2.5616
2.6559 10.5677 2.5616
0.0000 0.0000 8.1707
14.1998 1.4492 -0.3973
4.2014 3.7104 -1.5248
1.4492 1.6237 -0.3973
11.8210 -1.4171 1.2562
11.1511 1.1778 -0.0633
4.2014 -3.7104 2.6594
9.0484 -1.1366 2.0830
9.0896 3.2393 -0.0633
0.0000 0.0000 1.8704
4.0025 1.4171 1.2562
6.2520 -1.6598 2.9867
1.1778 4.6724 -0.0633
6.7752 1.1366 2.0830
9.3610 6.2881 -0.3973
6.2881 6.4626 -0.3973
6.4946 3.9092 1.2562
-1.4171 4.0025 1.2562
3.2393 6.7340 -0.0633
9.5715 1.6598 2.9867
1.6237 1.4492 3.7869
3.7104 11.6221 -1.5248
-1.4492 1.6237 3.7869
4.0025 -1.4171 5.4404
4.6724 1.1778 4.1209
3.7104 4.2014 2.6594
-1.1366 6.7752 2.0830
6.7340 3.2393 4.1209
0.0000 0.0000 6.0546
3.9092 9.3289 1.2562
1.6598 6.2520 2.9867
-1.1778 4.6724 4.1209
1.1366 9.0484 2.0830
6.4626 6.2881 3.7869
-6.2881 6.4626 3.7869
1.4171 11.8210 1.2562
1.4171 4.0025 5.4404
-3.2393 6.7340 4.1209
-1.6598 9.5715 2.9867
```

Peak list (8 most intense, 2θ = 10–90°, sorted by position)
2θ 21.23, 4.184 Å, I = 53; 2θ 22.88, 3.887 Å, I = 33; 2θ 24.06, 3.699 Å, I = 50; 2θ 25.17, 3.538 Å, I = 76; 2θ 25.53, 3.488 Å, I = 100; 2θ 26.60, 3.351 Å, I = 45; 2θ 39.96, 2.256 Å, I = 46; 2θ 47.38, 1.919 Å, I = 33



Record 2
Structure and calculated X-ray powder pattern of K2InSbCl6 (a cell relaxed with GGA-PBE; λ = 1.5418 Å (Cu Kα)).
Peak positions follow from Bragg's law for the DFT cell and can differ from measured ones.

```
K2InSbCl6
1.0
0.0000 5.6082 5.6082
5.6082 0.0000 5.6082
5.6082 5.6082 0.0000
K In Sb Cl
2 1 1 6
Cartesian
2.8041 2.8041 2.8041
8.4123 8.4123 8.4123
0.0000 0.0000 0.0000
5.6082 5.6082 5.6082
5.6082 5.6082 2.9417
5.6082 2.9417 5.6082
8.2746 5.6082 5.6082
2.9417 5.6082 5.6082
5.6082 8.2746 5.6082
5.6082 5.6082 8.2746
```

Peak list (8 most intense, 2θ = 10–90°, sorted by position)
2θ 15.80, 5.608 Å, I = 98; 2θ 22.42, 3.966 Å, I = 100; 2θ 31.92, 2.804 Å, I = 94; 2θ 35.80, 2.508 Å, I = 49; 2θ 39.35, 2.290 Å, I = 45; 2θ 45.76, 1.983 Å, I = 63; 2θ 48.71, 1.869 Å, I = 25; 2θ 75.87, 1.254 Å, I = 25



Record 3
Structure and calculated X-ray powder pattern of Y4GeO10 (a cell relaxed with GGA-PBE; λ = 1.5418 Å (Cu Kα)).
Peak positions follow from Bragg's law for the DFT cell and can differ from measured ones.

```
Y4GeO10
1.0
5.7121 0.0000 0.0000
-2.2929 6.0561 0.0000
-2.2832 -1.0204 6.4162
Y Ge O
4 1 10
Cartesian
0.0000 0.0000 0.0000
-2.6374 4.8287 3.3600
0.5382 3.8248 0.7793
2.4676 0.8396 2.6118
0.7626 1.3557 5.8055
-1.9253 2.6486 3.1829
-2.6504 4.0111 5.5144
-1.0640 5.1673 1.7669
1.7489 1.6294 0.4186
0.7925 0.5814 4.2183
0.1938 3.0210 5.8720
1.7283 3.0384 2.7285
1.7866 5.6528 1.5810
3.5035 -0.2798 4.2674
4.6607 2.1730 0.1362
```

Peak list (8 most intense, 2θ = 10–90°, sorted by position)
2θ 25.41, 3.505 Å, I = 65; 2θ 27.06, 3.295 Å, I = 68; 2θ 27.35, 3.261 Å, I = 100; 2θ 27.81, 3.208 Å, I = 38; 2θ 30.81, 2.903 Å, I = 54; 2θ 31.63, 2.829 Å, I = 31; 2θ 49.99, 1.824 Å, I = 32; 2θ 50.31, 1.814 Å, I = 33